The following is a simulated X-ray diffraction stick pattern of MnP2O10. It was derived from the PBE+U geometry in Alexandria, using Cu Kα (λ = 1.5418 Å).
No peak broadening, texture or thermal motion is included.

```
data_MnP2O10
_cell_length_a 5.1226
_cell_length_b 8.8517
_cell_length_c 8.2524
_cell_angle_alpha 90.00
_cell_angle_beta 124.28
_cell_angle_gamma 90.00
_symmetry_space_group_name_H-M 'P 1 21/c 1'
_symmetry_Int_Tables_number 14
_symmetry_space_group_name_Hall '-P 2ybc'
loop_
_atom_site_label
_atom_site_type_symbol
_atom_site_fract_x
_atom_site_fract_y
_atom_site_fract_z
Mn1 Mn 0.0000 0.0000 0.0000
P1 P 0.3731 0.1821 0.6478
O1 O 0.0946 0.5587 0.3165
O2 O 0.0971 0.1330 0.6606
O3 O 0.2935 0.6539 0.6673
O4 O 0.3430 0.1434 0.1113
O5 O 0.3566 0.1138 0.4666
```

The 6 most intense peaks (5° ≤ 2θ ≤ 70°), by intensity:
Position (°2θ)  I/Imax  hkl
22.5  100  1 0 -2
29.2  93  1 2 0
20.1  84  1 1 -1
33.1  67  0 3 1
16.4  58  0 1 1
28.0  57  0 1 2